1.
Diffraction record for KLuS2. The XRD peak list is calculated, not measured: it uses the PBE geometry in the Materials Project and Cu Kα, 1.54184 Å.
Intensities are scaled so that the largest is 100.

Cell and atoms:
```
KLuS2
1.0
1.985 1.146 7.338
-1.985 1.146 7.338
0.000 -2.293 7.338
K Lu S
1 1 2
Cartesian
0.000 0.000 0.000
0.000 0.000 11.007
0.000 0.000 5.125
0.000 0.000 16.889
```

Largest 10 diffraction maxima, in order of rising 2θ, 5° ≤ 2θ ≤ 70°:
two_theta, I_rel
12.1, 90
24.3, 20
26.2, 30
27.2, 39
30.7, 100
38.8, 22
42.1, 36
45.7, 33
47.4, 19
56.0, 17

2.
Diffraction record for Y2CoRu3. The XRD peak list is calculated, not measured: it uses the PBE geometry in the Materials Project and Cu Kα, 1.54184 Å.
Intensities are scaled so that the largest is 100.

Cell and atoms:
```
Y2CoRu3
1.0
2.636 1.522 4.326
-2.636 1.522 4.326
0.000 -3.044 4.326
Y Co Ru
2 1 3
Cartesian
0.000 0.000 1.613
0.000 0.000 11.364
0.000 0.000 6.489
-1.318 -0.761 4.326
-1.318 0.761 8.651
0.000 1.522 4.326
```

Largest 10 diffraction maxima, in order of rising 2θ, 5° ≤ 2θ ≤ 70°:
two_theta, I_rel
20.6, 11
33.9, 25
34.0, 10
40.0, 28
40.1, 100
41.8, 13
42.0, 39
60.8, 11
64.8, 11
64.9, 25

3.
Diffraction record for Ca3Co2N4. The XRD peak list is calculated, not measured: it uses the PBE geometry in the Materials Project and Cu Kα, 1.54184 Å.
Intensities are scaled so that the largest is 100.

Cell and atoms:
```
Ca3Co2N4
1.0
11.722 0.000 0.000
0.000 8.569 0.000
0.000 0.000 8.613
Ca Co N
12 8 16
Cartesian
1.512 0.967 0.000
1.840 5.105 6.854
1.928 3.601 2.246
3.933 7.885 6.553
4.021 0.820 2.547
4.349 5.252 4.307
7.373 3.317 0.000
7.701 7.749 6.854
7.789 0.684 2.246
9.794 4.968 6.553
9.882 3.465 2.547
10.210 7.602 4.307
0.058 1.155 2.725
0.249 4.847 4.314
5.612 0.562 0.007
5.803 5.439 7.031
5.919 3.130 2.725
6.111 8.007 4.314
11.473 3.723 0.007
11.664 7.415 7.031
1.365 3.369 8.482
1.581 7.622 7.051
1.680 1.225 2.389
1.901 4.820 4.376
3.960 0.535 0.069
4.181 5.509 6.696
4.280 3.338 2.744
4.496 7.654 4.175
7.226 0.916 8.482
7.442 5.231 7.051
7.541 3.060 2.389
7.762 8.034 4.376
9.821 3.749 0.069
10.042 7.344 6.696
10.141 0.947 2.744
10.357 5.200 4.175
```

Largest 10 diffraction maxima, in order of rising 2θ, 5° ≤ 2θ ≤ 70°:
two_theta, I_rel
14.6, 100
15.1, 18
20.6, 15
20.7, 15
24.4, 34
32.7, 84
32.9, 26
33.0, 25
42.0, 13
44.8, 21